Entry 1:
For Na3Li3Fe2P2C2O14, DFT lattice parameters and positions (GGA+U) gives the calculated powder diffractogram in this record (CuKα).
Neutral-atom scattering factors, no anomalous dispersion.

Cell: 6.712 8.724 10.222 Å, 92.00 90.52 91.72°
Atoms (fractional coordinates):
Na1 0.000 0.000 0.000
Na2 0.000 0.000 0.499
Na3 0.244 0.659 0.007
Na4 0.244 0.659 0.506
Na5 0.726 0.160 0.254
Na6 0.727 0.161 0.754
Li1 0.192 0.206 0.270
Li2 0.192 0.207 0.770
Li3 0.503 0.803 0.258
Li4 0.503 0.804 0.758
Li5 0.718 0.635 0.501
Li6 0.718 0.636 0.001
Fe1 0.481 0.266 0.490
Fe2 0.481 0.266 0.990
Fe3 0.984 0.565 0.269
Fe4 0.984 0.567 0.770
P1 0.487 0.500 0.236
P2 0.488 0.500 0.736
P3 0.981 0.332 0.024
P4 0.981 0.332 0.524
C1 0.002 0.864 0.242
C2 0.003 0.864 0.742
C3 0.504 0.951 0.015
C4 0.504 0.952 0.515
O1 0.002 0.348 0.178
O2 0.003 0.349 0.678
O3 0.008 0.799 0.355
O4 0.009 0.800 0.855
O5 0.013 0.012 0.235
O6 0.014 0.012 0.734
O7 0.163 0.247 0.468
O8 0.163 0.247 0.968
O9 0.305 0.600 0.266
O10 0.305 0.600 0.767
O11 0.467 0.337 0.293
O12 0.467 0.337 0.793
O13 0.473 0.067 0.097
O14 0.474 0.067 0.597
O15 0.508 0.974 0.390
O16 0.508 0.974 0.890
O17 0.512 0.482 0.584
O18 0.513 0.482 0.084
O19 0.528 0.816 0.061
O20 0.528 0.816 0.561
O21 0.668 0.596 0.296
O22 0.668 0.596 0.796
O23 0.796 0.228 0.488
O24 0.796 0.228 0.988
O25 0.966 0.495 0.971
O26 0.967 0.495 0.470
O27 0.983 0.775 0.138
O28 0.984 0.775 0.638

The 10 most intense peaks (10 to 90 degrees two-theta), in order of falling intensity:
2θ/deg	I (rel.)
26.57	100
10.15	92
35.14	44
20.46	34
19.84	33
33.24	32
26.41	32
34.20	27
30.80	22
54.73	22

***

Entry 2:
For MgV2O5, DFT lattice parameters and positions (GGA+U) gives the calculated powder diffractogram in this record (CuKα).
Neutral-atom scattering factors, no anomalous dispersion.

Cell: 5.427 5.427 11.210 Å, 90.00 90.00 139.86°
Atoms (fractional coordinates):
Mg1 0.109 0.891 0.750
Mg2 0.891 0.109 0.250
V1 0.201 0.799 0.098
V2 0.201 0.799 0.402
V3 0.799 0.201 0.598
V4 0.799 0.201 0.902
O1 0.041 0.959 0.128
O2 0.041 0.959 0.372
O3 0.236 0.764 0.577
O4 0.236 0.764 0.923
O5 0.304 0.696 0.250
O6 0.696 0.304 0.750
O7 0.764 0.236 0.077
O8 0.764 0.236 0.423
O9 0.959 0.041 0.628
O10 0.959 0.041 0.872

The 10 most intense peaks (10 to 90 degrees two-theta), in order of falling intensity:
2θ/deg	I (rel.)
17.40	100
25.46	57
29.64	54
35.15	37
26.69	32
48.91	26
61.50	21
48.73	20
23.59	16
31.93	15

***

Entry 3:
For MnWO4, DFT lattice parameters and positions (GGA+U) gives the calculated powder diffractogram in this record (CuKα).
Neutral-atom scattering factors, no anomalous dispersion.

Cell: 6.218 6.218 6.218 Å, 143.62 143.62 52.40°
Atoms (fractional coordinates):
Mn1 0.000 0.000 0.000
W1 0.750 0.250 0.500
O1 0.239 0.239 0.000
O2 0.578 0.078 0.500
O3 0.761 0.761 0.000
O4 0.922 0.422 0.500

The 10 most intense peaks (10 to 90 degrees two-theta), in order of falling intensity:
2θ/deg	I (rel.)
24.27	100
15.89	30
36.48	28
33.36	25
53.41	23
32.09	19
46.96	18
46.80	18
57.87	14
68.47	11